[1]
Calculated powder diffractogram
Compound: Er2TmCd3CuAu2
Radiation: CuKα
Structure: the GGA-PBE geometry in OQMD

Cell and atoms:
```
data_Er2TmCd3CuAu2
_symmetry_space_group_name_H-M 'A m m 2'
_symmetry_Int_Tables_number 38
_symmetry_space_group_name_Hall 'A 2 -2'
_cell_length_a 3.8248
_cell_length_b 13.2284
_cell_length_c 7.6453
_cell_angle_alpha 90.00
_cell_angle_beta 90.00
_cell_angle_gamma 90.00
loop_
_atom_site_label
_atom_site_type_symbol
_atom_site_fract_x
_atom_site_fract_y
_atom_site_fract_z
Er1 Er 0.0000 0.2044 0.0000
Tm1 Tm 0.0000 0.0000 0.3868
Cd1 Cd 0.5000 0.0000 0.0408
Cd2 Cd 0.5000 0.1228 0.6728
Cu1 Cu 0.0000 0.0000 0.7949
Au1 Au 0.5000 0.1661 0.2958
```

Peak list (10 most intense, 10 to 90 degrees two-theta, in order of rising 2θ)
- 33.14°, rel. 79
- 35.89°, rel. 100
- 40.91°, rel. 27
- 43.22°, rel. 18
- 47.56°, rel. 25
- 55.54°, rel. 12
- 60.99°, rel. 18
- 64.50°, rel. 20
- 66.23°, rel. 20
- 69.58°, rel. 16

***

[2]
Calculated powder diffractogram
Compound: H22PdC10N2Cl2
Radiation: CuKα
Structure: the GGA-PBE geometry in OQMD

Cell and atoms:
```
data_H22PdC10N2Cl2
_symmetry_space_group_name_H-M 'C 1 2 1'
_symmetry_Int_Tables_number 5
_symmetry_space_group_name_Hall 'C 2y'
_cell_length_a 8.5322
_cell_length_b 10.5385
_cell_length_c 7.9584
_cell_angle_alpha 90.00
_cell_angle_beta 117.75
_cell_angle_gamma 90.00
loop_
_atom_site_label
_atom_site_type_symbol
_atom_site_fract_x
_atom_site_fract_y
_atom_site_fract_z
H1 H 0.0224 0.0000 0.2624
H2 H 0.0401 0.6624 0.3784
H3 H 0.1001 0.8254 0.4396
H4 H 0.1086 0.7865 0.7584
H5 H 0.1121 0.2028 0.1700
H6 H 0.1205 0.2388 0.7643
H7 H 0.1396 0.3120 0.5720
H8 H 0.1726 0.1438 0.6094
H9 H 0.1934 0.8764 0.0389
H10 H 0.1937 0.1179 0.0357
H11 H 0.2480 0.4975 0.6713
Pd1 Pd 0.0000 0.6099 0.0000
C1 C 0.0307 0.7585 0.3217
C2 C 0.0909 0.8782 0.0867
C3 C 0.0919 0.1163 0.0851
C4 C 0.1188 0.9983 0.2064
C5 C 0.1908 0.2362 0.6791
N1 N 0.1175 0.7568 0.1981
Cl1 Cl 0.1248 0.4529 0.2333
```

Peak list (10 most intense, 10 to 90 degrees two-theta, in order of rising 2θ)
- 12.57°, rel. 100
- 14.43°, rel. 90
- 15.14°, rel. 89
- 20.89°, rel. 95
- 21.06°, rel. 35
- 25.31°, rel. 34
- 30.54°, rel. 34
- 33.06°, rel. 26
- 41.81°, rel. 20
- 42.87°, rel. 29